Structure and theoretical powder diffractogram of GdZnSi (DFT lattice parameters and positions (PBE); Cu Kα X-rays).
Neutral-atom scattering factors, no anomalous dispersion.

Structural model:
```
GdZnSi
1.0
4.135 0.000 0.000
-2.068 3.581 0.000
0.000 0.000 4.106
Gd Zn Si
1 1 1
direct
0.000 0.000 0.000
0.667 0.333 0.500
0.333 0.667 0.500
```

The 10 most intense peaks (2θ = 5–70°), sorted by position:
2θ = 24.86°, I 29, hkl 1 0 0
2θ = 33.19°, I 100, hkl 1 0 1
2θ = 43.78°, I 35, hkl 1 1 0
2θ = 44.11°, I 11, hkl 0 0 2
2θ = 51.00°, I 4, hkl 2 0 0
2θ = 51.30°, I 8, hkl 1 0 2
2θ = 56.03°, I 22, hkl 2 0 1
2θ = 63.90°, I 22, hkl 1 1 2
2θ = 69.44°, I 3, hkl 2 1 0
2θ = 69.68°, I 3, hkl 2 0 2